No. 1
# Cu2PdCl
Simulated powder X-ray diffraction pattern, λ = 1.5418 Å (Cu Kα). Input: a structure optimized by DFT (GGA-PBE).
Intensities are scaled so that the largest is 100.

Atomic structure:
abc: 4.401 4.401 4.401
angles: 60.00 60.00 60.00
Atoms (fractional coordinates):
Cu 0.250 0.250 0.250
Cu 0.750 0.750 0.750
Pd 0.000 0.000 0.000
Cl 0.500 0.500 0.500

Principal peaks in the range 2θ = 15–90°, in order of falling intensity:
41.02°, 2.200 Å, I = 100
74.72°, 1.270 Å, I = 31
24.78°, 3.593 Å, I = 16
59.40°, 1.556 Å, I = 16
88.97°, 1.100 Å, I = 10
48.51°, 1.877 Å, I = 9
65.36°, 1.428 Å, I = 4
80.13°, 1.198 Å, I = 3

***

No. 2
# TlCu2PdCl6
Simulated powder X-ray diffraction pattern, λ = 1.5418 Å (Cu Kα). Input: a structure optimized by DFT (GGA-PBE).
Intensities are scaled so that the largest is 100.

Atomic structure:
abc: 9.378 9.378 7.935
angles: 114.82 114.82 59.49
Atoms (fractional coordinates):
Tl 0.097 0.903 0.750
Tl 0.903 0.097 0.250
Cu 0.139 0.354 0.791
Cu 0.354 0.139 0.291
Cu 0.646 0.861 0.709
Cu 0.861 0.646 0.209
Pd 0.268 0.732 0.250
Pd 0.732 0.268 0.750
Cl 0.143 0.620 0.336
Cl 0.173 0.609 0.922
Cl 0.183 0.273 0.493
Cl 0.273 0.183 0.993
Cl 0.380 0.857 0.164
Cl 0.391 0.827 0.578
Cl 0.609 0.173 0.422
Cl 0.620 0.143 0.836
Cl 0.727 0.817 0.007
Cl 0.817 0.727 0.507
Cl 0.827 0.391 0.078
Cl 0.857 0.380 0.664

Principal peaks in the range 2θ = 15–90°, in order of falling intensity:
23.03°, 3.862 Å, I = 100
25.69°, 3.467 Å, I = 61
30.95°, 2.889 Å, I = 49
33.47°, 2.678 Å, I = 43
29.09°, 3.070 Å, I = 39
24.99°, 3.564 Å, I = 39
25.17°, 3.537 Å, I = 36
38.78°, 2.322 Å, I = 25
52.27°, 1.750 Å, I = 21
40.11°, 2.248 Å, I = 21

***

No. 3
# PmCu2Cl8
Simulated powder X-ray diffraction pattern, λ = 1.5418 Å (Cu Kα). Input: a structure optimized by DFT (GGA-PBE).
Intensities are scaled so that the largest is 100.

Atomic structure:
abc: 7.632 7.632 7.632
angles: 127.48 127.48 77.48
Atoms (fractional coordinates):
Pm 0.000 0.000 0.000
Cu 0.250 0.750 0.500
Cu 0.750 0.250 0.500
Cl 0.047 0.554 0.840
Cl 0.208 0.047 0.493
Cl 0.286 0.446 0.493
Cl 0.446 0.953 0.160
Cl 0.554 0.714 0.507
Cl 0.714 0.208 0.160
Cl 0.792 0.286 0.840
Cl 0.953 0.792 0.507

Principal peaks in the range 2θ = 15–90°, in order of falling intensity:
23.89°, 3.725 Å, I = 100
15.08°, 5.875 Å, I = 84
40.39°, 2.233 Å, I = 59
30.53°, 2.928 Å, I = 56
45.10°, 2.010 Å, I = 40
37.42°, 2.404 Å, I = 39
37.67°, 2.388 Å, I = 26
26.04°, 3.422 Å, I = 21
49.76°, 1.832 Å, I = 15
48.69°, 1.870 Å, I = 13

***

No. 4
# PrCu2Cl8
Simulated powder X-ray diffraction pattern, λ = 1.5418 Å (Cu Kα). Input: a structure optimized by DFT (GGA-PBE).
Intensities are scaled so that the largest is 100.

Atomic structure:
abc: 7.686 7.686 7.686
angles: 127.51 127.51 77.42
Atoms (fractional coordinates):
Pr 0.000 0.000 0.000
Cu 0.250 0.750 0.500
Cu 0.750 0.250 0.500
Cl 0.046 0.550 0.837
Cl 0.209 0.046 0.496
Cl 0.287 0.450 0.496
Cl 0.450 0.954 0.163
Cl 0.550 0.713 0.504
Cl 0.713 0.209 0.163
Cl 0.791 0.287 0.837
Cl 0.954 0.791 0.504

Principal peaks in the range 2θ = 15–90°, in order of falling intensity:
23.72°, 3.751 Å, I = 100
40.10°, 2.249 Å, I = 59
30.33°, 2.947 Å, I = 58
44.79°, 2.024 Å, I = 40
37.15°, 2.420 Å, I = 38
37.42°, 2.403 Å, I = 25
25.85°, 3.446 Å, I = 21
49.38°, 1.846 Å, I = 15
48.33°, 1.883 Å, I = 13
62.86°, 1.478 Å, I = 13

***

No. 5
# PrTl2CuCl6
Simulated powder X-ray diffraction pattern, λ = 1.5418 Å (Cu Kα). Input: a structure optimized by DFT (GGA-PBE).
Intensities are scaled so that the largest is 100.

Atomic structure:
abc: 8.033 8.033 6.617
angles: 110.08 110.08 53.20
Atoms (fractional coordinates):
Pr 0.000 0.000 0.000
Tl 0.256 0.256 0.803
Tl 0.744 0.744 0.197
Cu 0.500 0.500 0.500
Cl 0.198 0.198 0.294
Cl 0.200 0.668 0.220
Cl 0.332 0.800 0.780
Cl 0.668 0.200 0.220
Cl 0.800 0.332 0.780
Cl 0.802 0.802 0.706

Principal peaks in the range 2θ = 15–90°, in order of falling intensity:
23.34°, 3.812 Å, I = 100
22.00°, 4.040 Å, I = 81
36.85°, 2.439 Å, I = 48
36.98°, 2.431 Å, I = 42
26.89°, 3.316 Å, I = 38
24.75°, 3.597 Å, I = 36
46.13°, 1.968 Å, I = 21
28.22°, 3.162 Å, I = 21
44.87°, 2.020 Å, I = 19
27.04°, 3.297 Å, I = 19

***

No. 6
# PuCu2Cl6
Simulated powder X-ray diffraction pattern, λ = 1.5418 Å (Cu Kα). Input: a structure optimized by DFT (GGA-PBE).
Intensities are scaled so that the largest is 100.

Atomic structure:
abc: 6.421 7.644 12.764
angles: 90.00 112.17 90.00
Atoms (fractional coordinates):
Pu 0.000 0.000 0.000
Pu 0.000 0.500 0.500
Cu 0.498 0.146 0.071
Cu 0.498 0.354 0.571
Cu 0.502 0.646 0.429
Cu 0.502 0.854 0.929
Cl 0.155 0.736 0.392
Cl 0.155 0.764 0.892
Cl 0.198 0.249 0.430
Cl 0.198 0.251 0.930
Cl 0.381 0.528 0.678
Cl 0.381 0.972 0.178
Cl 0.619 0.028 0.822
Cl 0.619 0.472 0.322
Cl 0.802 0.749 0.070
Cl 0.802 0.751 0.570
Cl 0.845 0.236 0.108
Cl 0.845 0.264 0.608

Principal peaks in the range 2θ = 15–90°, in order of falling intensity:
28.78°, 3.102 Å, I = 100
18.14°, 4.890 Å, I = 55
24.80°, 3.590 Å, I = 53
35.79°, 2.509 Å, I = 51
33.77°, 2.654 Å, I = 40
38.04°, 2.365 Å, I = 38
30.44°, 2.937 Å, I = 35
24.93°, 3.572 Å, I = 33
36.88°, 2.438 Å, I = 32
32.31°, 2.771 Å, I = 29

***

No. 7
# RbPuCuCl5
Simulated powder X-ray diffraction pattern, λ = 1.5418 Å (Cu Kα). Input: a structure optimized by DFT (GGA-PBE).
Intensities are scaled so that the largest is 100.

Atomic structure:
abc: 7.530 7.530 10.210
angles: 103.67 103.67 106.37
Atoms (fractional coordinates):
Rb 0.151 0.849 0.750
Rb 0.849 0.151 0.250
Pu 0.500 0.500 0.000
Pu 0.500 0.500 0.500
Cu 0.191 0.809 0.250
Cu 0.809 0.191 0.750
Cl 0.118 0.263 0.917
Cl 0.191 0.602 0.388
Cl 0.263 0.118 0.417
Cl 0.398 0.809 0.112
Cl 0.421 0.579 0.750
Cl 0.579 0.421 0.250
Cl 0.602 0.191 0.888
Cl 0.737 0.882 0.583
Cl 0.809 0.398 0.612
Cl 0.882 0.737 0.083

Principal peaks in the range 2θ = 15–90°, in order of falling intensity:
19.16°, 4.633 Å, I = 100
24.62°, 3.617 Å, I = 55
21.43°, 4.147 Å, I = 54
24.04°, 3.702 Å, I = 49
45.57°, 1.990 Å, I = 37
39.57°, 2.278 Å, I = 25
31.29°, 2.859 Å, I = 24
37.42°, 2.403 Å, I = 23
37.25°, 2.414 Å, I = 22
42.16°, 2.143 Å, I = 22

***

No. 8
# Rb2Cu3Cl8
Simulated powder X-ray diffraction pattern, λ = 1.5418 Å (Cu Kα). Input: a structure optimized by DFT (GGA-PBE).
Intensities are scaled so that the largest is 100.

Atomic structure:
abc: 4.741 4.741 14.576
angles: 90.00 90.00 90.00
Atoms (fractional coordinates):
Rb 0.000 0.000 0.183
Rb 0.000 0.000 0.817
Cu 0.500 0.500 0.000
Cu 0.500 0.500 0.339
Cu 0.500 0.500 0.661
Cl 0.000 0.500 0.000
Cl 0.000 0.500 0.354
Cl 0.000 0.500 0.646
Cl 0.500 0.000 0.000
Cl 0.500 0.000 0.354
Cl 0.500 0.000 0.646
Cl 0.500 0.500 0.167
Cl 0.500 0.500 0.833

Principal peaks in the range 2θ = 15–90°, in order of falling intensity:
26.26°, 3.393 Å, I = 100
37.95°, 2.371 Å, I = 92
54.05°, 1.697 Å, I = 47
46.74°, 1.943 Å, I = 42
37.00°, 2.429 Å, I = 39
32.45°, 2.759 Å, I = 36
26.59°, 3.353 Å, I = 30
54.76°, 1.676 Å, I = 29
29.32°, 3.046 Å, I = 27
18.26°, 4.859 Å, I = 23

***

No. 9
# RbCu4Cl8
Simulated powder X-ray diffraction pattern, λ = 1.5418 Å (Cu Kα). Input: a structure optimized by DFT (GGA-PBE).
Intensities are scaled so that the largest is 100.

Atomic structure:
abc: 6.495 6.495 9.477
angles: 90.00 90.00 120.00
Atoms (fractional coordinates):
Rb 0.000 0.000 0.000
Cu 0.333 0.667 0.245
Cu 0.333 0.667 0.755
Cu 0.667 0.333 0.245
Cu 0.667 0.333 0.755
Cl 0.000 0.331 0.692
Cl 0.000 0.669 0.308
Cl 0.331 0.000 0.692
Cl 0.331 0.331 0.308
Cl 0.333 0.667 0.000
Cl 0.667 0.333 0.000
Cl 0.669 0.000 0.308
Cl 0.669 0.669 0.692

Principal peaks in the range 2θ = 15–90°, in order of falling intensity:
29.07°, 3.072 Å, I = 100
27.46°, 3.248 Å, I = 83
24.56°, 3.624 Å, I = 71
47.50°, 1.914 Å, I = 68
48.56°, 1.875 Å, I = 62
18.73°, 4.739 Å, I = 54
63.25°, 1.470 Å, I = 27
28.25°, 3.159 Å, I = 26
46.84°, 1.940 Å, I = 26
37.18°, 2.419 Å, I = 25

***

No. 10
# RbCu3Cl6
Simulated powder X-ray diffraction pattern, λ = 1.5418 Å (Cu Kα). Input: a structure optimized by DFT (GGA-PBE).
Intensities are scaled so that the largest is 100.

Atomic structure:
abc: 9.744 9.744 9.744
angles: 123.02 90.98 115.98
Atoms (fractional coordinates):
Rb 0.250 0.250 0.000
Rb 0.750 0.750 0.000
Cu 0.199 0.616 0.815
Cu 0.250 0.750 0.500
Cu 0.301 0.116 0.417
Cu 0.699 0.884 0.583
Cu 0.750 0.250 0.500
Cu 0.801 0.384 0.185
Cl 0.063 0.502 0.229
Cl 0.150 0.052 0.202
Cl 0.228 0.998 0.562
Cl 0.272 0.834 0.771
Cl 0.350 0.552 0.902
Cl 0.437 0.666 0.438
Cl 0.563 0.334 0.562
Cl 0.650 0.448 0.098
Cl 0.728 0.166 0.229
Cl 0.772 0.002 0.438
Cl 0.850 0.948 0.798
Cl 0.937 0.498 0.771

Principal peaks in the range 2θ = 15–90°, in order of falling intensity:
21.57°, 4.120 Å, I = 100
21.96°, 4.048 Å, I = 86
28.96°, 3.083 Å, I = 31
18.26°, 4.858 Å, I = 28
37.01°, 2.429 Å, I = 26
19.09°, 4.648 Å, I = 17
29.56°, 3.022 Å, I = 16
38.06°, 2.365 Å, I = 15
39.94°, 2.257 Å, I = 14
34.74°, 2.582 Å, I = 14